SrAc2NiO5: simulated PXRD pattern (λ = 1.5418 Å (Cu Kα)), based on a PBE+U-relaxed structure.

Structure:
Cell: 7.708 7.708 7.708 Å, 125.38 125.38 80.91°
Atoms (fractional coordinates):
Sr  0.250  0.250  0.000
Sr  0.750  0.750  0.000
Ac  0.174  0.674  0.848
Ac  0.326  0.174  0.500
Ac  0.674  0.826  0.500
Ac  0.826  0.326  0.152
Ni  0.250  0.750  0.500
Ni  0.750  0.250  0.500
O  0.000  0.000  0.000
O  0.007  0.221  0.500
O  0.221  0.721  0.214
O  0.279  0.493  0.500
O  0.493  0.993  0.214
O  0.500  0.500  0.000
O  0.507  0.007  0.786
O  0.721  0.507  0.500
O  0.779  0.279  0.786
O  0.993  0.779  0.500

Most intense lines, 15° ≤ 2θ ≤ 90°, sorted by position:
d = 5.865 Å, I 61.2; d = 3.054 Å, I 100.0; d = 3.029 Å, I 91.8; d = 2.932 Å, I 41.5; d = 2.501 Å, I 18.6; d = 2.459 Å, I 90.8; d = 2.237 Å, I 20.1; d = 1.884 Å, I 36.7; d = 1.711 Å, I 18.4; d = 1.697 Å, I 29.4; d = 1.604 Å, I 18.5; d = 1.571 Å, I 26.6